Starting from a cell relaxed with GGA-PBE, the powder diffractogram of MgSi2 was calculated for Cu Kα.
No peak broadening, texture or thermal motion is included.

Atomic structure:
a = 7.227 Å, b = 5.982 Å, c = 9.870 Å
α = 90.00°, β = 98.53°, γ = 90.00°
Element x y z (fractional)
1 Mg 0.000 0.000 0.000
2 Mg 0.020 0.000 0.468
3 Mg 0.080 0.500 0.011
4 Mg 0.386 0.000 0.685
5 Mg 0.474 0.500 0.738
6 Mg 0.577 0.500 0.280
7 Mg 0.643 0.000 0.228
8 Mg 0.955 0.500 0.504
9 Si 0.106 0.292 0.760
10 Si 0.106 0.708 0.760
11 Si 0.273 0.199 0.210
12 Si 0.273 0.801 0.210
13 Si 0.324 0.295 0.460
14 Si 0.324 0.705 0.460
15 Si 0.361 0.202 0.959
16 Si 0.361 0.798 0.959
17 Si 0.657 0.198 0.512
18 Si 0.657 0.802 0.512
19 Si 0.696 0.301 0.002
20 Si 0.696 0.699 0.002
21 Si 0.777 0.202 0.771
22 Si 0.777 0.798 0.771
23 Si 0.943 0.294 0.232
24 Si 0.943 0.706 0.232

Largest 12 diffraction maxima, sorted by position, 10 to 80 degrees two-theta:
2θ = 29.87°, 2.991 Å, intensity 17.0, (0 2 0); 2θ = 36.48°, 2.463 Å, intensity 100.0, (1 2 -2); 2θ = 36.83°, 2.440 Å, intensity 88.0, (0 0 4); 2θ = 37.51°, 2.398 Å, intensity 26.0, (3 0 -1); 2θ = 37.76°, 2.382 Å, intensity 24.7, (3 0 0); 2θ = 38.38°, 2.345 Å, intensity 52.2, (1 2 2); 2θ = 39.28°, 2.294 Å, intensity 33.9, (2 2 0); 2θ = 39.52°, 2.280 Å, intensity 29.7, (3 0 -2); 2θ = 40.28°, 2.239 Å, intensity 27.2, (3 0 1); 2θ = 43.63°, 2.074 Å, intensity 19.8, (3 0 -3); 2θ = 44.74°, 2.026 Å, intensity 15.9, (3 0 2); 2θ = 48.68°, 1.871 Å, intensity 17.8, (1 3 1)